Entry 1:
The following is a calculated X-ray diffraction stick pattern of DyYGaNi. It was derived from a DFT-relaxed cell (PBE, Alexandria), using Cu Kα, 1.54184 Å.

Main lines, sorted by position (10° ≤ 2θ ≤ 90°):
2θ = 26.27°, intensity 21; 2θ = 32.75°, intensity 100; 2θ = 34.42°, intensity 37; 2θ = 38.99°, intensity 23; 2θ = 40.41°, intensity 45; 2θ = 41.74°, intensity 24; 2θ = 48.85°, intensity 15; 2θ = 55.17°, intensity 19; 2θ = 64.73°, intensity 12; 2θ = 80.04°, intensity 13

Cell and atoms:
```
DyYGaNi
1.0
4.328 0.000 0.000
0.000 1.864 5.464
0.000 -1.864 5.464
Dy Y Ga Ni
1 1 1 1
direct
0.000 0.000 0.000
0.500 0.717 0.717
0.000 0.288 0.288
0.500 0.426 0.426
```

***

Entry 2:
The following is a calculated X-ray diffraction stick pattern of Dy2ZnGaNi. It was derived from a DFT-relaxed cell (PBE, Alexandria), using Cu Kα, 1.54184 Å.

Main lines, sorted by position (10° ≤ 2θ ≤ 90°):
2θ = 24.65°, intensity 40; 2θ = 30.17°, intensity 51; 2θ = 32.96°, intensity 100; 2θ = 33.72°, intensity 49; 2θ = 33.92°, intensity 96; 2θ = 37.28°, intensity 82; 2θ = 37.93°, intensity 36; 2θ = 39.92°, intensity 54; 2θ = 40.28°, intensity 41; 2θ = 42.15°, intensity 64

Cell and atoms:
```
Dy2ZnGaNi
1.0
7.117 0.000 0.000
0.000 4.288 0.000
-2.426 0.000 6.717
Dy Zn Ga Ni
4 2 2 2
direct
0.125 0.250 0.345
0.292 0.250 0.947
0.708 0.750 0.053
0.875 0.750 0.655
0.337 0.750 0.652
0.663 0.250 0.348
0.437 0.750 0.316
0.563 0.250 0.684
0.098 0.750 0.068
0.902 0.250 0.932
```

***

Entry 3:
The following is a calculated X-ray diffraction stick pattern of DyGaO3. It was derived from a DFT-relaxed cell (PBE, Alexandria), using Cu Kα, 1.54184 Å.

Main lines, sorted by position (10° ≤ 2θ ≤ 90°):
2θ = 15.14°, intensity 25; 2θ = 29.16°, intensity 37; 2θ = 30.17°, intensity 28; 2θ = 30.55°, intensity 32; 2θ = 33.02°, intensity 100; 2θ = 42.75°, intensity 28; 2θ = 51.71°, intensity 37; 2θ = 55.89°, intensity 20; 2θ = 61.26°, intensity 26; 2θ = 62.73°, intensity 17

Cell and atoms:
```
DyGaO3
1.0
6.124 0.000 0.000
-3.062 5.303 0.000
0.000 0.000 11.704
Dy Ga O
6 6 18
direct
0.000 0.000 0.000
0.000 0.000 0.500
0.333 0.667 0.458
0.333 0.667 0.958
0.667 0.333 0.458
0.667 0.333 0.958
0.000 0.334 0.226
0.000 0.666 0.726
0.334 0.000 0.226
0.334 0.334 0.726
0.666 0.000 0.726
0.666 0.666 0.226
0.000 0.000 0.203
0.000 0.000 0.703
0.000 0.307 0.388
0.000 0.360 0.064
0.000 0.640 0.564
0.000 0.693 0.888
0.307 0.000 0.388
0.307 0.307 0.888
0.333 0.667 0.245
0.333 0.667 0.745
0.360 0.000 0.064
0.360 0.360 0.564
0.640 0.000 0.564
0.640 0.640 0.064
0.667 0.333 0.245
0.667 0.333 0.745
0.693 0.000 0.888
0.693 0.693 0.388
```

***

Entry 4:
The following is a calculated X-ray diffraction stick pattern of DyPaGa2O8. It was derived from a DFT-relaxed cell (PBE, Alexandria), using Cu Kα, 1.54184 Å.

Main lines, sorted by position (10° ≤ 2θ ≤ 90°):
2θ = 18.26°, intensity 45; 2θ = 25.37°, intensity 100; 2θ = 32.13°, intensity 87; 2θ = 36.18°, intensity 25; 2θ = 49.15°, intensity 68; 2θ = 52.10°, intensity 16; 2θ = 58.81°, intensity 16; 2θ = 61.06°, intensity 16; 2θ = 62.54°, intensity 19; 2θ = 74.43°, intensity 15

Cell and atoms:
```
DyPaGa2O8
1.0
-3.511 3.511 3.366
3.511 -3.511 3.366
3.511 3.511 -3.366
Dy Pa Ga O
1 1 2 8
direct
0.000 0.000 0.000
0.250 0.750 0.500
0.500 0.500 0.000
0.750 0.250 0.500
0.311 0.119 0.807
0.311 0.504 0.193
0.371 0.054 0.317
0.496 0.689 0.807
0.737 0.054 0.683
0.881 0.689 0.193
0.946 0.263 0.317
0.946 0.629 0.683
```